Structure and simulated X-ray diffraction stick pattern of MnCuP2O8 (the PBE+U geometry in Alexandria; CuKα).
Neutral-atom scattering factors, no anomalous dispersion.

Peak list (10 most intense, 10° ≤ 2θ ≤ 90°, in order of falling intensity)
hkl 1 0 -1, d = 4.710 Å, 18.84 deg, I = 100; hkl 0 2 0, d = 3.020 Å, 29.58 deg, I = 69; hkl 0 0 2, d = 5.044 Å, 17.58 deg, I = 54; hkl 1 0 1, d = 4.438 Å, 20.01 deg, I = 37; hkl 1 0 -2, d = 3.734 Å, 23.83 deg, I = 34; hkl 1 0 -4, d = 2.330 Å, 38.65 deg, I = 31; hkl 1 2 -1, d = 2.542 Å, 35.30 deg, I = 31; hkl 2 0 -1, d = 2.526 Å, 35.54 deg, I = 27; hkl 1 1 -2, d = 3.176 Å, 28.09 deg, I = 24; hkl 0 1 6, d = 1.619 Å, 56.86 deg, I = 24

Atomic structure:
```
data_MnCuP2O8
_chemical_formula_sum 'Mn2 Cu2 P4 O16'
_symmetry_space_group_name_H-M 'P 1 21/m 1'
_symmetry_Int_Tables_number 11
_symmetry_space_group_name_Hall '-P 2yb'
_cell_length_a 5.1370
_cell_length_b 6.0398
_cell_length_c 10.1151
_cell_angle_alpha 90.00
_cell_angle_beta 94.23
_cell_angle_gamma 90.00
loop_
_atom_site_label
_atom_site_type_symbol
_atom_site_fract_x
_atom_site_fract_y
_atom_site_fract_z
Mn1 Mn 0.0870 0.2500 0.3020
Cu1 Cu 0.3496 0.2500 0.8133
P1 P 0.0856 0.7500 0.3969
P2 P 0.4442 0.7500 0.8873
O1 O 0.1222 0.7500 0.5497
O2 O 0.2142 0.2500 0.6388
O3 O 0.2202 0.5467 0.3383
O4 O 0.2673 0.2500 0.1407
O5 O 0.2779 0.5560 0.8209
O6 O 0.4184 0.7500 0.0386
```